For PrGa2I5, a DFT-relaxed cell (PBE, Alexandria) gives the calculated powder diffractogram in this record (copper Kα).
Neutral-atom scattering factors, no anomalous dispersion.

Largest 10 diffraction maxima, by intensity, 10 to 80 degrees two-theta:
two_theta	I_rel
25.1	100
24.5	99
25.4	97
38.2	88
31.9	64
32.8	58
32.2	58
12.0	45
39.7	40
16.1	35

Lattice parameters (Å, degrees): 16.007 8.275 11.758 90.00 112.94 90.00
Space group Cc (No. 9)
One atom of each set of equivalent atoms:
Pr1 0.000 0.000 0.000 [4 per cell]
Ga1 0.111 0.477 0.203 [4 per cell]
Ga2 0.389 0.024 0.796 [4 per cell]
I1 0.000 0.160 0.750 [4 per cell]
I2 0.090 0.320 0.457 [4 per cell]
I3 0.189 0.161 0.144 [4 per cell]
I4 0.311 0.338 0.856 [4 per cell]
I5 0.410 0.180 0.542 [4 per cell]